No. 1
Structure and computed powder XRD pattern of CuAg2 (DFT lattice parameters and positions (PBE); copper Kα).
Kinematic intensities with the Lorentz-polarization factor, no thermal factor.

Top 6 peaks for 2θ from 15° to 90°, sorted by position:
38.86 deg, intensity 100.0
39.21 deg, intensity 94.2
45.24 deg, intensity 61.2
45.68 deg, intensity 29.8
66.24 deg, intensity 37.7
78.99 deg, intensity 22.0

Structure:
a = 7.4424 Å, b = 7.4424 Å, c = 7.4424 Å
α = 157.90°, β = 73.61°, γ = 110.83°
Fractional coordinates of all 9 atoms:
Cu 0.0000 0.0000 0.0000
Cu 0.0073 0.3452 0.6622
Cu 0.6830 0.3452 0.3378
Ag 0.0030 0.6681 0.3349
Ag 0.3332 0.6681 0.6651
Ag 0.3360 0.0060 0.3299
Ag 0.3379 0.3379 0.0000
Ag 0.6761 0.0060 0.6701
Ag 0.6891 0.6891 0.0000

***

No. 2
Structure and computed powder XRD pattern of Cs2DyTmS4 (DFT lattice parameters and positions (PBE); copper Kα).
Kinematic intensities with the Lorentz-polarization factor, no thermal factor.

Top 6 peaks for 2θ from 15° to 90°, sorted by position:
22.16 deg, intensity 38.4
27.65 deg, intensity 100.0
30.38 deg, intensity 49.8
42.44 deg, intensity 46.1
44.53 deg, intensity 37.9
50.28 deg, intensity 26.8

Structure:
a = 4.0694 Å, b = 4.0694 Å, c = 16.0432 Å
α = 90.00°, β = 90.00°, γ = 120.00°
Fractional coordinates of all 8 atoms:
Cs 0.3333 0.6667 0.2502
Cs 0.6667 0.3333 0.7498
Dy 0.0000 0.0000 0.0000
Tm 0.0000 0.0000 0.5000
S 0.3333 0.6667 0.5896
S 0.3333 0.6667 0.9082
S 0.6667 0.3333 0.0918
S 0.6667 0.3333 0.4104

***

No. 3
Structure and computed powder XRD pattern of K2HgH2Cl4O (DFT lattice parameters and positions (PBE); copper Kα).
Kinematic intensities with the Lorentz-polarization factor, no thermal factor.

Top 6 peaks for 2θ from 15° to 90°, sorted by position:
15.06 deg, intensity 41.7
23.82 deg, intensity 100.0
25.06 deg, intensity 58.6
29.23 deg, intensity 41.2
33.03 deg, intensity 77.0
42.65 deg, intensity 32.8

Structure:
a = 8.3801 Å, b = 11.7663 Å, c = 8.9270 Å
α = 90.00°, β = 90.00°, γ = 90.00°
Fractional coordinates of all 40 atoms:
K 0.0812 0.1563 0.0000
K 0.1054 0.1956 0.5000
K 0.3946 0.6956 0.5000
K 0.4188 0.6563 0.0000
K 0.5812 0.3437 0.0000
K 0.6054 0.3044 0.5000
K 0.8946 0.8044 0.5000
K 0.9188 0.8437 0.0000
Hg 0.0000 0.5000 0.2281
Hg 0.0000 0.5000 0.7719
Hg 0.5000 0.0000 0.2281
Hg 0.5000 0.0000 0.7719
H 0.0878 0.9768 0.2996
H 0.0878 0.9768 0.7004
H 0.4122 0.4768 0.2996
H 0.4122 0.4768 0.7004
H 0.5878 0.5232 0.2996
H 0.5878 0.5232 0.7004
H 0.9122 0.0232 0.2996
H 0.9122 0.0232 0.7004
Cl 0.1177 0.6887 0.2534
Cl 0.1177 0.6887 0.7466
Cl 0.2025 0.4233 0.0000
Cl 0.2429 0.9408 0.5000
Cl 0.2571 0.4408 0.5000
Cl 0.2975 0.9233 0.0000
Cl 0.3823 0.1887 0.2534
Cl 0.3823 0.1887 0.7466
Cl 0.6177 0.8113 0.2534
Cl 0.6177 0.8113 0.7466
Cl 0.7025 0.0767 0.0000
Cl 0.7429 0.5592 0.5000
Cl 0.7571 0.0592 0.5000
Cl 0.7975 0.5767 0.0000
Cl 0.8823 0.3113 0.2534
Cl 0.8823 0.3113 0.7466
O 0.0000 0.0000 0.2324
O 0.0000 0.0000 0.7676
O 0.5000 0.5000 0.2324
O 0.5000 0.5000 0.7676

***

No. 4
Structure and computed powder XRD pattern of PrReNO (DFT lattice parameters and positions (PBE); copper Kα).
Kinematic intensities with the Lorentz-polarization factor, no thermal factor.

Top 6 peaks for 2θ from 15° to 90°, sorted by position:
32.73 deg, intensity 14.7
33.23 deg, intensity 100.0
34.57 deg, intensity 28.5
37.14 deg, intensity 24.6
47.06 deg, intensity 14.4
61.09 deg, intensity 17.9

Structure:
a = 5.1896 Å, b = 3.8623 Å, c = 5.4726 Å
α = 90.00°, β = 90.00°, γ = 90.00°
Fractional coordinates of all 8 atoms:
Pr 0.2500 0.0000 0.2098
Pr 0.7500 0.0000 0.7902
Re 0.2500 0.5000 0.6707
Re 0.7500 0.5000 0.3293
N 0.2500 0.0000 0.6759
N 0.7500 0.0000 0.3241
O 0.0000 0.5000 0.0000
O 0.5000 0.5000 0.0000

***

No. 5
Structure and computed powder XRD pattern of NaNi2Te3 (DFT lattice parameters and positions (PBE); copper Kα).
Kinematic intensities with the Lorentz-polarization factor, no thermal factor.

Top 6 peaks for 2θ from 15° to 90°, sorted by position:
29.77 deg, intensity 41.2
31.24 deg, intensity 52.8
32.32 deg, intensity 100.0
35.23 deg, intensity 38.0
43.12 deg, intensity 59.2
47.07 deg, intensity 46.3

Structure:
a = 7.9784 Å, b = 3.8620 Å, c = 9.5666 Å
α = 90.00°, β = 109.74°, γ = 90.00°
Fractional coordinates of all 12 atoms:
Na 0.0078 0.2500 0.2937
Na 0.9922 0.7500 0.7063
Ni 0.4375 0.2500 0.1393
Ni 0.4962 0.7500 0.3367
Ni 0.5038 0.2500 0.6633
Ni 0.5625 0.7500 0.8607
Te 0.2079 0.7500 0.1196
Te 0.3171 0.7500 0.5231
Te 0.3367 0.2500 0.8513
Te 0.6633 0.7500 0.1487
Te 0.6829 0.2500 0.4769
Te 0.7921 0.2500 0.8804

***

No. 6
Structure and computed powder XRD pattern of ErTmTlC (DFT lattice parameters and positions (PBE); copper Kα).
Kinematic intensities with the Lorentz-polarization factor, no thermal factor.

Top 6 peaks for 2θ from 15° to 90°, sorted by position:
28.89 deg, intensity 18.4
33.46 deg, intensity 100.0
44.76 deg, intensity 13.3
51.20 deg, intensity 17.3
59.79 deg, intensity 18.3
62.55 deg, intensity 31.8

Structure:
a = 3.5686 Å, b = 3.5686 Å, c = 16.0827 Å
α = 90.00°, β = 90.00°, γ = 120.00°
Fractional coordinates of all 8 atoms:
Er 0.0000 0.0000 0.1675
Er 0.0000 0.0000 0.8325
Tm 0.3333 0.6667 0.3329
Tm 0.3333 0.6667 0.6671
Tl 0.0000 0.0000 0.5000
Tl 0.3333 0.6667 0.0000
C 0.6667 0.3333 0.2505
C 0.6667 0.3333 0.7495

***

Repeat the fifth record exactly.
Structure and computed powder XRD pattern of NaNi2Te3 (DFT lattice parameters and positions (PBE); copper Kα).
Kinematic intensities with the Lorentz-polarization factor, no thermal factor.

Top 6 peaks for 2θ from 15° to 90°, sorted by position:
29.77 deg, intensity 41.2
31.24 deg, intensity 52.8
32.32 deg, intensity 100.0
35.23 deg, intensity 38.0
43.12 deg, intensity 59.2
47.07 deg, intensity 46.3

Structure:
a = 7.9784 Å, b = 3.8620 Å, c = 9.5666 Å
α = 90.00°, β = 109.74°, γ = 90.00°
Fractional coordinates of all 12 atoms:
Na 0.0078 0.2500 0.2937
Na 0.9922 0.7500 0.7063
Ni 0.4375 0.2500 0.1393
Ni 0.4962 0.7500 0.3367
Ni 0.5038 0.2500 0.6633
Ni 0.5625 0.7500 0.8607
Te 0.2079 0.7500 0.1196
Te 0.3171 0.7500 0.5231
Te 0.3367 0.2500 0.8513
Te 0.6633 0.7500 0.1487
Te 0.6829 0.2500 0.4769
Te 0.7921 0.2500 0.8804